# 1
For LaY2Mg2, a crystal structure in Alexandria, relaxed with GGA-PBE gives the calculated powder X-ray diffraction pattern in this record (copper Kα).
Kinematic intensities with the Lorentz-polarization factor, no thermal factor.

Top 10 peaks for 10° ≤ 2θ ≤ 90°, in order of rising 2θ:
d [Å], I/Imax
4.365, 12
3.781, 16
3.587, 23
2.813, 23
2.784, 27
2.747, 100
1.979, 16
1.611, 13
1.600, 19
1.373, 10

Structure:
```
LaY2Mg2
1.0
1.908 -14.067 0.000
1.908 14.067 0.000
0.000 0.000 5.567
La Y Mg
2 4 4
direct
0.149 0.851 0.750
0.851 0.149 0.250
0.047 0.953 0.250
0.237 0.763 0.250
0.763 0.237 0.750
0.953 0.047 0.750
0.359 0.641 0.750
0.451 0.549 0.250
0.549 0.451 0.750
0.641 0.359 0.250
```

---

# 2
For ScCdAs2O8, a crystal structure in Alexandria, relaxed with GGA-PBE gives the calculated powder X-ray diffraction pattern in this record (copper Kα).
Kinematic intensities with the Lorentz-polarization factor, no thermal factor.

Top 10 peaks for 10° ≤ 2θ ≤ 90°, in order of rising 2θ:
d [Å], I/Imax
3.508, 100
2.656, 65
2.480, 17
1.813, 58
1.754, 16
1.569, 12
1.464, 18
1.435, 11
1.260, 11
1.124, 11

Structure:
```
ScCdAs2O8
1.0
-3.508 3.508 3.145
3.508 -3.508 3.145
3.508 3.508 -3.145
Sc Cd As O
1 1 2 8
direct
0.000 0.000 0.000
0.250 0.750 0.500
0.500 0.500 0.000
0.750 0.250 0.500
0.311 0.133 0.822
0.311 0.489 0.178
0.388 0.080 0.308
0.511 0.689 0.822
0.772 0.080 0.692
0.867 0.689 0.178
0.920 0.228 0.308
0.920 0.612 0.692
```

---

# 3
For Fe5Se3, a crystal structure in Alexandria, relaxed with GGA-PBE gives the calculated powder X-ray diffraction pattern in this record (copper Kα).
Kinematic intensities with the Lorentz-polarization factor, no thermal factor.

Top 10 peaks for 10° ≤ 2θ ≤ 90°, in order of rising 2θ:
d [Å], I/Imax
2.777, 40
2.689, 49
2.380, 33
2.252, 42
2.104, 45
2.092, 100
2.065, 64
2.050, 67
1.930, 49
1.869, 68

Structure:
```
Fe5Se3
1.0
6.350 0.000 0.000
2.681 5.841 0.000
1.613 2.727 6.601
Fe Se
10 6
direct
0.000 0.000 0.000
0.047 0.350 0.270
0.112 0.318 0.606
0.354 0.877 0.248
0.411 0.489 0.594
0.505 0.047 0.512
0.569 0.147 0.146
0.740 0.648 0.425
0.804 0.166 0.609
0.929 0.703 0.696
0.215 0.864 0.729
0.224 0.272 0.939
0.341 0.490 0.273
0.708 0.427 0.803
0.743 0.768 0.053
0.907 0.006 0.346
```